Mo4PbC2S: calculated PXRD pattern (CuKα), based on a cell relaxed with PBE.
Intensities are scaled so that the largest is 100.

Atomic structure:
```
Mo4PbC2S
1.0
3.236 0.000 0.000
-1.618 2.802 0.000
0.000 0.000 12.722
Mo Pb C S
4 1 2 1
direct
0.000 0.000 0.140
0.000 0.000 0.860
0.333 0.667 0.307
0.333 0.667 0.693
0.000 0.000 0.500
0.667 0.333 0.231
0.667 0.333 0.769
0.333 0.667 0.000
```

Main lines, in order of rising 2θ (2θ from 5° to 70°):
index, Position (°2θ), I (rel.)
0 0 1, 6.9, 32.3
1 0 0, 31.9, 34.7
1 0 2, 35.0, 31.7
0 0 5, 35.3, 14.1
1 0 3, 38.5, 100.0
1 0 5, 48.3, 12.0
1 0 6, 54.2, 11.1
1 1 0, 56.9, 25.2
1 0 8, 67.7, 14.6
1 1 5, 68.8, 12.3

---

PrMoC2: calculated PXRD pattern (CuKα), based on a cell relaxed with PBE.
Intensities are scaled so that the largest is 100.

Atomic structure:
```
PrMoC2
1.0
5.635 0.000 0.000
0.000 5.563 0.000
-1.363 0.000 7.880
Pr Mo C
4 4 8
direct
0.000 0.066 0.000
0.000 0.934 0.500
0.500 0.434 0.500
0.500 0.566 0.000
0.454 0.060 0.794
0.454 0.940 0.294
0.954 0.440 0.294
0.954 0.560 0.794
0.043 0.411 0.551
0.043 0.589 0.051
0.179 0.304 0.702
0.179 0.696 0.202
0.543 0.089 0.051
0.543 0.911 0.551
0.679 0.196 0.202
0.679 0.804 0.702
```

Main lines, in order of rising 2θ (2θ from 5° to 70°):
index, Position (°2θ), I (rel.)
0 0 2, 22.6, 15.3
1 1 -2, 30.1, 75.4
2 0 0, 32.2, 68.8
1 1 2, 34.1, 100.0
2 0 -2, 36.3, 13.5
0 0 4, 46.1, 14.1
2 2 -1, 46.2, 36.8
1 1 -4, 49.2, 16.7
3 1 2, 61.2, 12.5
0 4 1, 68.5, 13.3

---

Re2Mo3C: calculated PXRD pattern (CuKα), based on a cell relaxed with PBE.
Intensities are scaled so that the largest is 100.

Atomic structure:
```
Re2Mo3C
1.0
6.932 0.000 0.000
0.000 6.932 0.000
0.000 0.000 6.932
Re Mo C
8 12 4
direct
0.068 0.068 0.068
0.182 0.818 0.318
0.318 0.182 0.818
0.432 0.932 0.568
0.568 0.432 0.932
0.682 0.682 0.682
0.818 0.318 0.182
0.932 0.568 0.432
0.045 0.875 0.705
0.125 0.205 0.455
0.205 0.455 0.125
0.295 0.545 0.625
0.375 0.795 0.955
0.455 0.125 0.205
0.545 0.625 0.295
0.625 0.295 0.545
0.705 0.045 0.875
0.795 0.955 0.375
0.875 0.705 0.045
0.955 0.375 0.795
0.125 0.625 0.875
0.375 0.375 0.375
0.625 0.875 0.125
0.875 0.125 0.625
```

Main lines, in order of rising 2θ (2θ from 5° to 70°):
index, Position (°2θ), I (rel.)
1 1 0, 18.1, 19.6
1 1 1, 22.2, 10.9
2 2 0, 36.7, 4.2
2 2 1, 39.0, 100.0
3 1 0, 41.2, 57.1
3 1 1, 43.3, 24.1
3 2 0, 47.3, 5.9
3 2 1, 49.2, 21.9
4 1 0, 54.6, 9.8
4 3 1, 69.1, 31.4

---

TeMo2CS: calculated PXRD pattern (CuKα), based on a cell relaxed with PBE.
Intensities are scaled so that the largest is 100.

Atomic structure:
```
TeMo2CS
1.0
3.309 0.000 0.000
-1.655 2.866 0.000
0.000 0.000 9.626
Te Mo C S
1 2 1 1
direct
0.000 0.000 0.000
0.000 0.000 0.555
0.333 0.667 0.770
0.667 0.333 0.680
0.333 0.667 0.394
```

Main lines, in order of rising 2θ (2θ from 5° to 70°):
index, Position (°2θ), I (rel.)
0 0 1, 9.2, 84.5
0 0 2, 18.4, 13.7
1 0 0, 31.2, 33.7
1 0 2, 36.5, 100.0
0 0 4, 37.4, 10.8
0 1 3, 42.3, 33.4
1 0 4, 49.5, 13.1
1 1 0, 55.5, 24.4
0 2 2, 68.3, 15.3
1 1 4, 68.9, 10.7